[1]
Calculated PXRD pattern
Compound: Si2SnO6
Radiation: Cu Kα (weighted mean of Kα1 and Kα2)
Structure: a GGA-PBE-relaxed structure
Intensities are scaled so that the largest is 1000.

Most intense lines, 10 to 80 degrees two-theta, most intense first:
- 2θ = 13.7°, d = 6.472 Å, I 1000
- 2θ = 29.0°, d = 3.076 Å, I 845
- 2θ = 19.5°, d = 4.557 Å, I 701
- 2θ = 30.6°, d = 2.924 Å, I 531
- 2θ = 24.6°, d = 3.620 Å, I 449
- 2θ = 36.2°, d = 2.484 Å, I 333
- 2θ = 35.2°, d = 2.553 Å, I 289
- 2θ = 34.3°, d = 2.617 Å, I 225
- 2θ = 19.6°, d = 4.520 Å, I 221
- 2θ = 40.9°, d = 2.206 Å, I 184
- 2θ = 41.5°, d = 2.177 Å, I 167
- 2θ = 42.1°, d = 2.146 Å, I 167

Crystal structure
```
data_Si2SnO6
_symmetry_space_group_name_H-M 'P 1'
_symmetry_Int_Tables_number 1
_cell_length_a 6.678
_cell_length_b 6.678
_cell_length_c 5.415
_cell_angle_alpha 104.21
_cell_angle_beta 104.21
_cell_angle_gamma 85.19
loop_
_symmetry_equiv_pos_as_xyz
'x,y,z'
loop_
_atom_site_label
_atom_site_type_symbol
_atom_site_fract_x
_atom_site_fract_y
_atom_site_fract_z
Si1 Si 0.116 0.282 0.243
Si2 Si 0.282 0.116 0.743
Si3 Si 0.718 0.884 0.257
Si4 Si 0.884 0.718 0.757
Sn1 Sn 0.389 0.611 0.750
Sn2 Sn 0.611 0.389 0.250
O1 O 0.105 0.599 0.802
O2 O 0.136 0.151 0.467
O3 O 0.151 0.136 0.967
O4 O 0.312 0.449 0.355
O5 O 0.401 0.895 0.698
O6 O 0.449 0.312 0.855
O7 O 0.551 0.688 0.145
O8 O 0.599 0.105 0.302
O9 O 0.688 0.551 0.645
O10 O 0.849 0.864 0.033
O11 O 0.864 0.849 0.533
O12 O 0.895 0.401 0.198
```


[2]
Calculated PXRD pattern
Compound: ZnRh3
Radiation: Cu Kα (weighted mean of Kα1 and Kα2)
Structure: a GGA-PBE-relaxed structure
Intensities are scaled so that the largest is 1000.

Most intense lines, 10 to 80 degrees two-theta, most intense first:
- 2θ = 40.8°, d = 2.213 Å, I 1000
- 2θ = 47.5°, d = 1.914 Å, I 319
- 2θ = 69.3°, d = 1.356 Å, I 199
- 2θ = 47.3°, d = 1.921 Å, I 161
- 2θ = 69.4°, d = 1.354 Å, I 99
- 2θ = 26.0°, d = 3.427 Å, I 27
- 2θ = 23.1°, d = 3.842 Å, I 9
- 2θ = 33.1°, d = 2.707 Å, I 7
- 2θ = 42.5°, d = 2.129 Å, I 7
- 2θ = 54.9°, d = 1.671 Å, I 7

Crystal structure
```
data_ZnRh3
_symmetry_space_group_name_H-M 'P 1'
_symmetry_Int_Tables_number 1
_cell_length_a 4.700
_cell_length_b 4.700
_cell_length_c 4.700
_cell_angle_alpha 131.93
_cell_angle_beta 131.93
_cell_angle_gamma 70.34
loop_
_symmetry_equiv_pos_as_xyz
'x,y,z'
loop_
_atom_site_label
_atom_site_type_symbol
_atom_site_fract_x
_atom_site_fract_y
_atom_site_fract_z
Zn1 Zn 0.000 0.000 0.000
Rh1 Rh 0.250 0.750 0.500
Rh2 Rh 0.500 0.500 0.000
Rh3 Rh 0.750 0.250 0.500
```


[3]
Calculated PXRD pattern
Compound: Pu2HgBi
Radiation: Cu Kα (weighted mean of Kα1 and Kα2)
Structure: a GGA-PBE-relaxed structure
Intensities are scaled so that the largest is 1000.

Most intense lines, 10 to 80 degrees two-theta, most intense first:
- 2θ = 33.0°, d = 2.715 Å, I 1000
- 2θ = 58.9°, d = 1.567 Å, I 396
- 2θ = 47.4°, d = 1.920 Å, I 187
- 2θ = 78.8°, d = 1.214 Å, I 176
- 2θ = 69.2°, d = 1.357 Å, I 124
- 2θ = 23.2°, d = 3.839 Å, I 6

Crystal structure
```
data_Pu2HgBi
_symmetry_space_group_name_H-M 'P 1'
_symmetry_Int_Tables_number 1
_cell_length_a 5.430
_cell_length_b 5.430
_cell_length_c 5.430
_cell_angle_alpha 60.00
_cell_angle_beta 60.00
_cell_angle_gamma 60.00
loop_
_symmetry_equiv_pos_as_xyz
'x,y,z'
loop_
_atom_site_label
_atom_site_type_symbol
_atom_site_fract_x
_atom_site_fract_y
_atom_site_fract_z
Pu1 Pu 0.250 0.250 0.250
Pu2 Pu 0.750 0.750 0.750
Hg1 Hg 0.000 0.000 0.000
Bi1 Bi 0.500 0.500 0.500
```